(1)
Computed powder diffraction line list of Pr for CuKα, from a cell relaxed with PBE.

Structural model:
Cell: 3.7118 6.4806 6.0730 Å, 90.00 90.00 90.00°
Space group Cmcm (No. 63)
Unique sites:
Pr1 0.0000 0.1527 0.2500

Most intense lines, 2θ from 10° to 90°, sorted by position:
2θ (°)  I/Imax  index
27.70  34.2  1 1 0
29.42  44.4  0 0 2
31.29  66.8  0 2 1
31.44  100.0  1 1 1
40.84  24.1  1 1 2
53.42  37.2  0 2 3
57.99  24.3  1 3 2
59.37  21.4  2 2 1

(2)
Computed powder diffraction line list of Pr for CuKα, from a cell relaxed with PBE.

Structural model:
Cell: 6.4342 3.7122 6.4456 Å, 90.00 109.56 90.00°
Space group C2/m (No. 12)
Unique sites:
Pr1 0.2394 0.0000 0.2496

Most intense lines, 2θ from 10° to 90°, sorted by position:
2θ (°)  I/Imax  index
29.44  100.0  0 0 2
34.13  50.7  1 1 1
49.04  36.1  0 2 0
58.19  21.4  1 1 3
58.28  21.5  0 2 2
61.08  9.4  0 0 4
79.56  11.1  1 3 -1
82.01  7.8  0 2 4

(3)
Computed powder diffraction line list of Pr for CuKα, from a cell relaxed with PBE.

Structural model:
Cell: 3.7656 3.7656 5.9481 Å, 90.00 90.00 120.00°
Space group P6_3/mmc (No. 194)
Unique sites:
Pr1 0.3333 0.6667 0.2500

Most intense lines, 2θ from 10° to 90°, sorted by position:
2θ (°)  I/Imax  index
27.35  23.6  1 0 0
30.05  24.7  0 0 2
31.28  100.0  1 0 1
41.08  15.9  1 0 2
48.34  19.8  1 1 0
54.14  21.2  1 0 3
57.97  23.0  1 1 2
58.71  16.6  2 0 1

(4)
Computed powder diffraction line list of Pr for CuKα, from a cell relaxed with PBE.

Structural model:
Cell: 3.7430 3.7430 12.0228 Å, 90.00 90.00 120.00°
Space group P6_3/mmc (No. 194)
Unique sites:
Pr1 0.0000 0.0000 0.0000
Pr2 0.3333 0.6667 0.2500

Most intense lines, 2θ from 10° to 90°, sorted by position:
2θ (°)  I/Imax  index
28.52  42.7  1 0 1
29.72  34.1  0 0 4
31.35  100.0  1 0 2
35.62  23.7  1 0 3
48.65  26.1  1 1 0
53.78  21.8  1 0 6
58.06  30.7  1 1 4
59.03  16.4  2 0 2

(5)
Computed powder diffraction line list of Pr for CuKα, from a cell relaxed with PBE.

Structural model:
Cell: 3.7434 3.7434 27.1636 Å, 90.00 90.00 120.00°
Space group R-3m (No. 166, hexagonal axes)
Unique sites:
Pr1 0.0000 0.0000 0.0000
Pr2 0.0000 0.0000 0.2227

Most intense lines, 2θ from 10° to 90°, sorted by position:
2θ (°)  I/Imax  index
27.71  35.7  1 0 1
29.60  50.2  0 0 9
30.56  100.0  1 0 4
32.15  85.0  0 1 5
48.65  38.1  1 1 0
52.07  23.1  1 0 13
55.17  17.8  0 1 14
57.98  44.9  1 1 9

(6)
Computed powder diffraction line list of Pr for CuKα, from a cell relaxed with PBE.

Structural model:
Cell: 5.2685 5.2685 5.2685 Å, 90.00 90.00 90.00°
Space group Fm-3m (No. 225)
Unique sites:
Pr1 0.0000 0.0000 0.0000

Most intense lines, 2θ from 10° to 90°, sorted by position:
2θ (°)  I/Imax  index
29.36  100.0  1 1 1
34.03  50.8  2 0 0
48.90  36.6  2 2 0
58.07  43.7  3 1 1
60.91  12.6  2 2 2
71.65  5.8  4 0 0
79.26  17.6  3 3 1
81.75  16.3  4 2 0